Diffraction record for Cu7As. The PXRD pattern is computed, not measured: it uses DFT lattice parameters and positions (GGA-PBE) and Cu Kα (weighted mean of Kα1 and Kα2).

Structural model:
Lattice parameters (Å, degrees): 5.226 5.226 5.226 60.00 60.00 60.00
Positions (direct):
Cu: 0.000 0.000 0.000
Cu: 0.000 0.000 0.500
Cu: 0.000 0.500 0.000
Cu: 0.000 0.500 0.500
Cu: 0.500 0.000 0.000
Cu: 0.500 0.000 0.500
Cu: 0.500 0.500 0.000
As: 0.500 0.500 0.500

The 4 most intense peaks (2θ = 10–90°), by intensity:
2θ/deg, Rel. int.
42.37, 100.0
49.32, 47.0
87.57, 32.4
72.33, 27.4


Diffraction record for Cu5As2. The PXRD pattern is computed, not measured: it uses DFT lattice parameters and positions (GGA-PBE) and Cu Kα (weighted mean of Kα1 and Kα2).

Structural model:
Lattice parameters (Å, degrees): 5.516 5.983 6.569 116.77 90.03 90.02
Positions (direct):
Cu: 0.000 0.086 0.225
Cu: 0.000 0.914 0.775
Cu: 0.240 0.500 0.500
Cu: 0.257 0.308 0.049
Cu: 0.258 0.692 0.952
Cu: 0.499 0.285 0.700
Cu: 0.501 0.715 0.300
Cu: 0.742 0.308 0.048
Cu: 0.743 0.692 0.951
Cu: 0.760 0.500 0.500
As: 0.000 0.287 0.699
As: 0.000 0.713 0.301
As: 0.499 0.117 0.270
As: 0.501 0.883 0.730

The 10 most intense peaks (2θ = 10–90°), by intensity:
2θ/deg, Rel. int.
44.69, 100.0
45.13, 98.1
43.33, 67.9
36.68, 46.5
41.26, 40.9
46.13, 36.6
43.07, 24.9
89.65, 22.2
84.13, 17.4
67.98, 17.0


Diffraction record for Cu5As2. The PXRD pattern is computed, not measured: it uses DFT lattice parameters and positions (GGA-PBE) and Cu Kα (weighted mean of Kα1 and Kα2).

Structural model:
Lattice parameters (Å, degrees): 7.110 7.110 7.110 129.85 70.27 134.18
Positions (direct):
Cu: 0.021 0.250 0.771
Cu: 0.107 0.695 0.802
Cu: 0.250 0.250 0.000
Cu: 0.393 0.195 0.588
Cu: 0.479 0.250 0.229
Cu: 0.521 0.750 0.771
Cu: 0.607 0.805 0.412
Cu: 0.750 0.750 0.000
Cu: 0.893 0.305 0.198
Cu: 0.979 0.750 0.229
As: 0.116 0.281 0.396
As: 0.384 0.781 0.165
As: 0.616 0.219 0.835
As: 0.884 0.719 0.604

The 10 most intense peaks (2θ = 10–90°), by intensity:
2θ/deg, Rel. int.
44.45, 100.0
45.24, 97.0
43.24, 93.1
36.55, 36.1
41.62, 29.7
83.81, 26.2
70.70, 25.9
45.84, 25.7
81.30, 16.1
79.60, 16.0


Diffraction record for DyCu2AsP. The PXRD pattern is computed, not measured: it uses DFT lattice parameters and positions (GGA-PBE) and Cu Kα (weighted mean of Kα1 and Kα2).

Structural model:
Lattice parameters (Å, degrees): 7.093 7.093 7.093 131.29 131.29 71.35
Positions (direct):
Dy: 0.000 0.000 0.000
Dy: 0.500 0.500 0.000
Cu: 0.008 0.508 0.123
Cu: 0.385 0.885 0.877
Cu: 0.508 0.385 0.500
Cu: 0.885 0.008 0.500
As: 0.025 0.525 0.500
As: 0.525 0.025 0.500
P: 0.262 0.262 0.000
P: 0.762 0.762 0.000

The 10 most intense peaks (2θ = 10–90°), by intensity:
2θ/deg, Rel. int.
34.39, 100.0
44.12, 46.5
15.38, 43.4
43.77, 36.0
31.04, 35.3
30.56, 24.2
54.63, 23.3
35.18, 18.9
21.48, 18.2
26.53, 15.8


Diffraction record for Dy8CuTe4As3. The PXRD pattern is computed, not measured: it uses DFT lattice parameters and positions (GGA-PBE) and Cu Kα (weighted mean of Kα1 and Kα2).

Structural model:
Lattice parameters (Å, degrees): 8.543 8.543 8.543 58.93 58.93 58.93
Positions (direct):
Dy: 0.239 0.239 0.239
Dy: 0.245 0.737 0.737
Dy: 0.263 0.263 0.755
Dy: 0.263 0.755 0.263
Dy: 0.737 0.245 0.737
Dy: 0.737 0.737 0.245
Dy: 0.755 0.263 0.263
Dy: 0.761 0.761 0.761
Cu: 0.500 0.500 0.500
Te: 0.000 0.000 0.000
Te: 0.000 0.500 0.500
Te: 0.500 0.000 0.500
Te: 0.500 0.500 0.000
As: 0.000 0.000 0.500
As: 0.000 0.500 0.000
As: 0.500 0.000 0.000

The 10 most intense peaks (2θ = 10–90°), by intensity:
2θ/deg, Rel. int.
29.83, 100.0
43.05, 38.2
42.33, 34.0
53.26, 19.6
70.80, 16.6
69.76, 12.3
78.42, 11.0
61.97, 10.9
25.90, 7.5
32.49, 6.9


Diffraction record for CuAsF7. The PXRD pattern is computed, not measured: it uses DFT lattice parameters and positions (GGA-PBE) and Cu Kα (weighted mean of Kα1 and Kα2).

Structural model:
Lattice parameters (Å, degrees): 7.369 7.369 7.369 123.52 84.00 123.53
Positions (direct):
Cu: 0.500 0.000 0.000
Cu: 0.500 0.500 0.500
As: 0.000 0.000 0.000
As: 0.500 0.000 0.500
F: 0.148 0.216 0.297
F: 0.148 0.851 0.932
F: 0.215 0.245 0.970
F: 0.225 0.755 0.470
F: 0.403 0.653 0.750
F: 0.419 0.216 0.568
F: 0.419 0.851 0.203
F: 0.581 0.149 0.797
F: 0.581 0.784 0.432
F: 0.597 0.347 0.250
F: 0.775 0.245 0.530
F: 0.785 0.755 0.030
F: 0.852 0.149 0.068
F: 0.852 0.784 0.703

The 10 most intense peaks (2θ = 10–90°), by intensity:
2θ/deg, Rel. int.
15.06, 100.0
30.39, 91.8
17.99, 84.1
24.29, 72.7
61.88, 27.3
49.77, 27.0
27.58, 25.8
29.79, 22.4
53.34, 20.0
52.50, 19.4


Diffraction record for GaCuAs2O8. The PXRD pattern is computed, not measured: it uses DFT lattice parameters and positions (GGA-PBE) and Cu Kα (weighted mean of Kα1 and Kα2).

Structural model:
Lattice parameters (Å, degrees): 5.571 5.571 5.571 109.03 109.03 110.35
Positions (direct):
Ga: 0.000 0.000 0.000
Cu: 0.250 0.750 0.500
As: 0.500 0.500 0.000
As: 0.750 0.250 0.500
O: 0.309 0.118 0.809
O: 0.309 0.500 0.191
O: 0.371 0.068 0.303
O: 0.500 0.691 0.809
O: 0.764 0.068 0.697
O: 0.882 0.691 0.191
O: 0.932 0.236 0.303
O: 0.932 0.629 0.697

The 10 most intense peaks (2θ = 10–90°), by intensity:
2θ/deg, Rel. int.
27.58, 100.0
34.34, 79.5
53.24, 63.5
68.22, 18.6
56.95, 16.6
39.40, 15.4
65.38, 14.6
64.42, 12.2
81.73, 11.2
72.37, 10.9


Diffraction record for GaCu2AsSe4. The PXRD pattern is computed, not measured: it uses DFT lattice parameters and positions (GGA-PBE) and Cu Kα (weighted mean of Kα1 and Kα2).

Structural model:
Lattice parameters (Å, degrees): 7.036 7.033 5.767 65.83 65.77 48.40
Positions (direct):
Ga: 0.000 0.000 0.000
Cu: 0.250 0.250 0.250
Cu: 0.750 0.750 0.750
As: 0.500 0.500 0.500
Se: 0.101 0.628 0.899
Se: 0.371 0.899 0.101
Se: 0.628 0.101 0.372
Se: 0.899 0.371 0.629

The 10 most intense peaks (2θ = 10–90°), by intensity:
2θ/deg, Rel. int.
26.83, 100.0
44.58, 47.6
52.67, 28.9
44.43, 24.5
52.92, 13.7
71.52, 10.3
64.65, 7.5
81.87, 7.2
81.98, 7.2
82.23, 6.8